Computed powder X-ray diffraction pattern
Compound: TaTe2Cl6
Radiation: CuKα
Structure: a cell relaxed with PBE
Kinematic intensities with the Lorentz-polarization factor, no thermal factor.

Atomic structure:
Cell lengths 7.4046, 7.4292, 11.9731 Å; angles 76.49, 80.42, 81.03 degrees
Element x y z (fractional)
Ta1 0.1716 0.1957 0.2090
Ta2 0.8284 0.8043 0.7910
Te1 0.3464 0.7330 0.5104
Te2 0.4076 0.3956 0.6573
Te3 0.5924 0.6044 0.3427
Te4 0.6536 0.2670 0.4896
Cl1 0.0511 0.9079 0.2882
Cl2 0.1306 0.2540 0.4020
Cl3 0.1332 0.6512 0.8107
Cl4 0.2107 0.1352 0.0248
Cl5 0.3033 0.4729 0.1388
Cl6 0.4741 0.0346 0.2470
Cl7 0.5259 0.9654 0.7530
Cl8 0.6967 0.5271 0.8612
Cl9 0.7893 0.8648 0.9752
Cl10 0.8668 0.3488 0.1893
Cl11 0.8694 0.7460 0.5980
Cl12 0.9489 0.0921 0.7118

Principal peaks in the range 2θ from 10° to 80°, most intense first:
(hkl)  2θ (°)  I/Imax
1 1 1  16.08  100
1 0 -1  15.31  61
0 1 4  30.86  39
0 1 -1  15.89  33
1 0 2  18.32  28
2 0 1  24.73  27
1 -1 0  18.44  26
3 -1 1  41.15  24
1 1 2  19.26  20
-2 1 3  37.82  20

---

Computed powder X-ray diffraction pattern
Compound: PrGa6
Radiation: CuKα
Structure: a cell relaxed with PBE
Kinematic intensities with the Lorentz-polarization factor, no thermal factor.

Atomic structure:
Cell lengths 6.0758, 6.0758, 7.7016 Å; angles 90.00, 90.00, 90.00 degrees
Element x y z (fractional)
Pr1 0.2500 0.7500 0.0000
Pr2 0.7500 0.2500 0.0000
Ga1 0.0617 0.5617 0.3515
Ga2 0.0617 0.9383 0.6485
Ga3 0.2500 0.2500 0.1632
Ga4 0.2500 0.2500 0.8368
Ga5 0.4383 0.5617 0.6485
Ga6 0.4383 0.9383 0.3515
Ga7 0.5617 0.0617 0.6485
Ga8 0.5617 0.4383 0.3515
Ga9 0.7500 0.7500 0.1632
Ga10 0.7500 0.7500 0.8368
Ga11 0.9383 0.0617 0.3515
Ga12 0.9383 0.4383 0.6485

Principal peaks in the range 2θ from 10° to 80°, most intense first:
(hkl)  2θ (°)  I/Imax
2 0 1  31.66  100
1 1 3  40.95  45
0 0 3  35.00  42
2 2 0  42.06  37
1 1 2  31.19  34
2 1 2  40.64  28
3 1 4  69.09  24
3 1 2  53.28  22
3 3 3  76.10  20
4 1 2  68.13  12